Entry 1:
For YNi5Ge3, a GGA-PBE-relaxed structure gives the calculated XRD peak list in this record (Cu Kα, 1.54184 Å).

Most intense lines, 2θ = 10–90°, low angle first:
d_spacing	I (rel.)	h k l
2.933	459	0 0 4
2.637	1000	1 1 3
2.484	931	1 3 2
2.267	836	1 1 4
2.032	409	1 5 0
1.962	492	1 1 5
1.920	825	1 5 2
1.867	853	2 0 0

Atomic structure:
Lattice parameters (Å, degrees): 3.735 12.108 11.743 90.00 90.00 90.00
Space group Cmcm (No. 63)
Asymmetric unit:
Y  0.000  0.157  0.250 (multiplicity 4)
Ni  0.000  0.000  0.000 (multiplicity 4)
Ni  0.000  0.194  0.566 (multiplicity 8)
Ni  0.000  0.448  0.144 (multiplicity 8)
Ge  0.000  0.115  0.750 (multiplicity 4)
Ge  0.000  0.381  0.547 (multiplicity 8)



Entry 2:
For Y3NiGe3, a GGA-PBE-relaxed structure gives the calculated XRD peak list in this record (Cu Kα, 1.54184 Å).

Most intense lines, 2θ = 10–90°, low angle first:
d_spacing	I (rel.)	h k l
2.724	609	1 1 3
2.704	409	3 1 -1
2.686	1000	1 1 -4
2.643	438	4 0 -2
2.377	366	3 1 -4
2.222	982	3 1 2
2.172	278	0 0 6
2.121	583	0 2 0

Atomic structure:
Lattice parameters (Å, degrees): 10.580 4.241 13.886 90.00 110.22 90.00
Space group C2/m (No. 12)
Asymmetric unit:
Y  0.031  0.000  0.382 (multiplicity 4)
Y  0.098  0.000  0.921 (multiplicity 4)
Y  0.246  0.000  0.229 (multiplicity 4)
Ni  0.245  0.500  0.399 (multiplicity 4)
Ge  0.041  0.500  0.238 (multiplicity 4)
Ge  0.125  0.500  0.077 (multiplicity 4)
Ge  0.144  0.500  0.544 (multiplicity 4)



Entry 3:
For YNi3Ge, a GGA-PBE-relaxed structure gives the calculated XRD peak list in this record (Cu Kα, 1.54184 Å).

Most intense lines, 2θ = 10–90°, low angle first:
d_spacing	I (rel.)	h k l
3.090	430	1 1 1
2.772	710	0 2 1
2.315	419	2 0 1
2.211	538	0 0 2
2.159	1000	2 2 0
1.779	268	0 4 0
1.545	657	2 2 2
1.386	223	0 4 2

Atomic structure:
Lattice parameters (Å, degrees): 5.433 7.115 4.422 90.00 90.00 90.00
Space group Cmmm (No. 65)
Asymmetric unit:
Y  0.000  0.000  0.000 (multiplicity 2)
Ni  0.000  0.500  0.000 (multiplicity 2)
Ni  0.250  0.250  0.500 (multiplicity 4)
Ge  0.000  0.500  0.500 (multiplicity 2)



Entry 4:
For YZnNi5Ge2, a GGA-PBE-relaxed structure gives the calculated XRD peak list in this record (Cu Kα, 1.54184 Å).

Most intense lines, 2θ = 10–90°, low angle first:
d_spacing	I (rel.)	h k l
2.906	145	1 0 2
2.346	1000	1 1 2
2.310	154	1 0 3
1.997	349	1 1 3
1.987	615	2 0 0
1.877	142	1 0 4
1.405	187	2 2 0
1.206	208	3 1 2

Atomic structure:
Lattice parameters (Å, degrees): 3.975 3.975 8.518 90.00 90.00 90.00
Space group P4/mmm (No. 123)
Asymmetric unit:
Y  0.000  0.000  0.000 (multiplicity 1)
Zn  0.000  0.000  0.500 (multiplicity 1)
Ni  0.000  0.500  0.225 (multiplicity 4)
Ni  0.500  0.500  0.000 (multiplicity 1)
Ge  0.500  0.500  0.360 (multiplicity 2)



Entry 5:
For Zn6Ni7Ge2, a GGA-PBE-relaxed structure gives the calculated XRD peak list in this record (Cu Kα, 1.54184 Å).

Most intense lines, 2θ = 10–90°, low angle first:
d_spacing	I (rel.)	h k l
6.654	19	1 1 1
4.075	27	2 2 0
3.475	21	3 1 1
2.881	19	4 0 0
2.353	12	4 2 2
2.037	1000	4 4 0
1.441	152	8 0 0
1.176	300	8 4 4

Atomic structure:
Lattice parameters (Å, degrees): 11.526 11.526 11.526 90.00 90.00 90.00
Space group Fd-3m (No. 227, origin choice 2)
Asymmetric unit:
Zn  0.000  0.000  0.000 (multiplicity 16)
Zn  0.001  0.001  0.749 (multiplicity 32)
Ni  0.124  0.375  0.875 (multiplicity 48)
Ni  0.125  0.125  0.125 (multiplicity 8)
Ge  0.000  0.000  0.500 (multiplicity 16)



Entry 6:
For Zn2Ni8Ge3, a GGA-PBE-relaxed structure gives the calculated XRD peak list in this record (Cu Kα, 1.54184 Å).

Most intense lines, 2θ = 10–90°, low angle first:
d_spacing	I (rel.)	h k l
8.689	357	0 0 3
2.397	672	1 1 0
2.058	1000	0 1 11
2.050	858	2 0 2
1.928	680	2 0 5
1.846	340	1 1 9
1.308	420	1 2 11
1.198	381	2 2 0

Atomic structure:
Lattice parameters (Å, degrees): 4.7934 4.7934 26.0666 90.00 90.00 120.00
Space group R-3m (No. 166, hexagonal axes)
Asymmetric unit:
Zn  0.0000  0.0000  0.1307 (multiplicity 6)
Ni  0.0000  0.0000  0.2221 (multiplicity 6)
Ni  0.0008  0.5004  0.7197 (multiplicity 18)
Ge  0.0000  0.0000  0.3095 (multiplicity 6)
Ge  0.0000  0.0000  0.5000 (multiplicity 3)



Entry 7:
For ZnNi12Ge3, a GGA-PBE-relaxed structure gives the calculated XRD peak list in this record (Cu Kα, 1.54184 Å).

Most intense lines, 2θ = 10–90°, low angle first:
d_spacing	I (rel.)	h k l
2.066	1000	1 1 4
1.791	156	0 0 8
1.788	311	2 0 0
1.265	274	2 2 0

Atomic structure:
Lattice parameters (Å, degrees): 3.575 3.575 14.328 90.00 90.00 90.00
Space group P4/mmm (No. 123)
Asymmetric unit:
Zn  0.000  0.000  0.000 (multiplicity 1)
Ni  0.000  0.500  0.126 (multiplicity 4)
Ni  0.000  0.500  0.375 (multiplicity 4)
Ni  0.500  0.500  0.000 (multiplicity 1)
Ni  0.500  0.500  0.251 (multiplicity 2)
Ni  0.500  0.500  0.500 (multiplicity 1)
Ge  0.000  0.000  0.248 (multiplicity 2)
Ge  0.000  0.000  0.500 (multiplicity 1)



Entry 8:
For Zn2Ni15Ge2, a GGA-PBE-relaxed structure gives the calculated XRD peak list in this record (Cu Kα, 1.54184 Å).

Most intense lines, 2θ = 10–90°, low angle first:
d_spacing	I (rel.)	h k l
2.849	202	1 0 4
2.322	524	3 0 0
2.081	334	0 0 6
2.028	1000	3 0 3
2.011	688	2 2 0
1.848	355	1 1 6
1.811	762	2 2 3
1.161	261	6 0 0

Atomic structure:
Lattice parameters (Å, degrees): 8.0429 8.0429 12.4871 90.00 90.00 120.00
Space group R-3m (No. 166, hexagonal axes)
Asymmetric unit:
Zn  0.0000  0.0000  0.0998 (multiplicity 6)
Ni  0.0000  0.3344  0.0000 (multiplicity 18)
Ni  0.0000  0.5000  0.5000 (multiplicity 9)
Ni  0.0058  0.5029  0.1670 (multiplicity 18)
Ge  0.0000  0.0000  0.3669 (multiplicity 6)



Entry 9:
For Zr4NiGe, a GGA-PBE-relaxed structure gives the calculated XRD peak list in this record (Cu Kα, 1.54184 Å).

Most intense lines, 2θ = 10–90°, low angle first:
d_spacing	I (rel.)	h k l
2.583	1000	2 1 1
2.335	287	1 1 2
2.087	281	2 0 2
2.080	374	3 1 0
1.535	194	2 1 3
1.530	130	4 1 1
1.404	130	4 0 2
1.345	190	3 3 2

Atomic structure:
Lattice parameters (Å, degrees): 6.578 6.578 5.398 90.00 90.00 90.00
Space group I422 (No. 97)
Asymmetric unit:
Zr  0.159  0.341  0.250 (multiplicity 8)
Ni  0.000  0.000  0.500 (multiplicity 2)
Ge  0.000  0.000  0.000 (multiplicity 2)



Entry 10:
For Np3Ge, a GGA-PBE-relaxed structure gives the calculated XRD peak list in this record (Cu Kα, 1.54184 Å).

Most intense lines, 2θ = 10–90°, low angle first:
d_spacing	I (rel.)	h k l
3.852	307	2 0 0
2.923	501	2 2 0
2.790	250	1 3 0
2.430	1000	2 2 -1
2.413	991	2 2 1
2.245	382	0 4 0
2.160	583	0 0 2
1.621	368	1 5 -1

Atomic structure:
Lattice parameters (Å, degrees): 7.705 8.978 4.321 90.00 90.57 90.00
Space group C2/m (No. 12)
Asymmetric unit:
Np  0.104  0.000  0.248 (multiplicity 4)
Np  0.184  0.286  0.749 (multiplicity 8)
Ge  0.132  0.500  0.248 (multiplicity 4)



Entry 11:
For SrNpGeO5, a GGA-PBE-relaxed structure gives the calculated XRD peak list in this record (Cu Kα, 1.54184 Å).

Most intense lines, 2θ = 10–90°, low angle first:
d_spacing	I (rel.)	h k l
5.504	668	1 1 0
3.569	1000	1 1 -2
3.334	667	2 0 0
2.921	814	1 3 0
2.905	605	0 2 2
2.669	311	1 1 2
2.612	295	2 2 -2
1.916	327	2 0 -4

Atomic structure:
Lattice parameters (Å, degrees): 7.187 9.749 7.797 90.00 111.90 90.00
Space group C2/c (No. 15)
Asymmetric unit:
Sr  0.000  0.164  0.250 (multiplicity 4)
Np  0.000  0.500  0.000 (multiplicity 4)
Ge  0.000  0.179  0.750 (multiplicity 4)
O  0.000  0.416  0.250 (multiplicity 4)
O  0.110  0.285  0.625 (multiplicity 8)
O  0.173  0.064  0.910 (multiplicity 8)



Entry 12:
For NpTlGeO6, a GGA-PBE-relaxed structure gives the calculated XRD peak list in this record (Cu Kα, 1.54184 Å).

Most intense lines, 2θ = 10–90°, low angle first:
d_spacing	I (rel.)	h k l
3.714	1000	1 0 1
3.148	149	0 0 2
2.655	303	1 1 0
2.160	214	2 0 1
2.030	381	2 -1 2
1.910	151	1 0 3
1.676	214	3 -1 1
1.339	101	2 1 3

Atomic structure:
Lattice parameters (Å, degrees): 5.3108 5.3108 6.2970 90.00 90.00 120.00
Space group P312 (No. 149)
Asymmetric unit:
Np  0.0000  0.0000  0.0000 (multiplicity 1)
Tl  0.3333  0.6667  0.5000 (multiplicity 1)
Ge  0.6667  0.3333  0.0000 (multiplicity 1)
O  0.3486  0.0525  0.1733 (multiplicity 6)